No. 1
For K3CeP2S8, DFT lattice parameters and positions (GGA-PBE) gives the theoretical powder X-ray diffraction pattern in this record (Cu Kα, 1.54184 Å).

Cell lengths 9.224, 17.308, 9.700 Å; angles 90.00, 90.66, 90.00 degrees
Space group P2_1/c (No. 14)
Symmetry-distinct sites (fractional):
K (0.119, 0.213, 0.131) x4
K (0.233, 0.030, 0.512) x4
K (0.374, 0.708, 0.876) x4
Ce (0.275, 0.513, 0.474) x4
P (0.025, 0.598, 0.719) x4
P (0.498, 0.101, 0.242) x4
S (0.041, 0.020, 0.178) x4
S (0.064, 0.625, 0.919) x4
S (0.167, 0.655, 0.592) x4
S (0.184, 0.129, 0.833) x4
S (0.283, 0.613, 0.227) x4
S (0.383, 0.173, 0.363) x4
S (0.451, 0.516, 0.750) x4
S (0.464, 0.124, 0.034) x4

Top 8 peaks for 10° ≤ 2θ ≤ 90°, sorted by position:
10.22°, intensity 81, (0 2 0)
10.45°, intensity 100, (0 1 1)
16.82°, intensity 25, (1 2 1)
26.83°, intensity 33, (2 0 2)
28.49°, intensity 47, (2 2 -2)
33.80°, intensity 28, (1 6 -1)
34.02°, intensity 33, (2 4 2)
34.42°, intensity 20, (3 3 1)

No. 2
For KCe2PaS5, DFT lattice parameters and positions (GGA-PBE) gives the theoretical powder X-ray diffraction pattern in this record (Cu Kα, 1.54184 Å).

Cell lengths 5.072, 7.200, 13.920 Å; angles 90.00, 90.00, 90.00 degrees
Space group Immm (No. 71)
Symmetry-distinct sites (fractional):
K (0.000, 0.000, 0.000) x2
Ce (0.000, 0.500, 0.203) x4
Pa (0.000, 0.000, 0.500) x2
S (0.000, 0.238, 0.350) x8
S (0.000, 0.500, 0.000) x2

Top 8 peaks for 10° ≤ 2θ ≤ 90°, sorted by position:
13.85°, intensity 85, (0 1 1)
24.73°, intensity 24, (0 2 0)
25.00°, intensity 100, (1 1 2)
34.54°, intensity 25, (0 1 5)
35.39°, intensity 24, (2 0 0)
35.89°, intensity 24, (0 2 4)
36.21°, intensity 43, (1 2 3)
43.69°, intensity 35, (1 3 2)